No. 1
Simulated powder diffractogram of Nb2C for copper Kα, from a GGA-PBE-relaxed structure.
Kinematic intensities with the Lorentz-polarization factor, no thermal factor.

Peak list (6 most intense, 5 to 70 degrees two-theta, in order of falling intensity)
h k l	2θ (°)	intensity
1 1 1	37.63	100
0 0 2	36.11	22
3 0 0	58.67	19
1 1 0	32.86	19
2 -1 3	65.94	18
2 -1 2	49.62	18

Crystal structure
```
data_Nb2C
_chemical_formula_sum 'Nb6 C3'
_cell_length_a 5.4510
_cell_length_b 5.4510
_cell_length_c 4.9745
_cell_angle_alpha 90.00
_cell_angle_beta 90.00
_cell_angle_gamma 120.00
_symmetry_space_group_name_H-M 'P -3 1 m'
_symmetry_Int_Tables_number 162
_symmetry_space_group_name_Hall '-P 3 2'
loop_
_atom_site_label
_atom_site_fract_x
_atom_site_fract_y
_atom_site_fract_z
Nb1 0.0000 0.3372 0.2498
C1 0.0000 0.0000 0.0000
C2 0.3333 0.6667 0.5000
```



No. 2
Simulated powder diffractogram of Cd2Si2As3P for copper Kα, from a GGA-PBE-relaxed structure.
Kinematic intensities with the Lorentz-polarization factor, no thermal factor.

Peak list (6 most intense, 5 to 70 degrees two-theta, in order of falling intensity)
h k l	2θ (°)	intensity
3 1 -1	26.95	100
1 1 1	26.77	87
2 2 -2	43.30	45
4 2 0	45.15	42
1 1 -2	34.89	34
0 0 1	17.02	29

Crystal structure
```
data_Cd2Si2As3P
_chemical_formula_sum 'Cd4 Si4 As6 P2'
_cell_length_a 12.3652
_cell_length_b 5.9258
_cell_length_c 5.8958
_cell_angle_alpha 90.00
_cell_angle_beta 117.94
_cell_angle_gamma 90.00
_symmetry_space_group_name_H-M 'C 1 2 1'
_symmetry_Int_Tables_number 5
loop_
_symmetry_equiv_pos_as_xyz
'x,y,z'
'-x,y,-z'
'x+1/2,y+1/2,z'
'-x+1/2,y+1/2,-z'
loop_
_atom_site_label
_atom_site_fract_x
_atom_site_fract_y
_atom_site_fract_z
Cd1 0.1224 0.0000 0.3660
Si1 0.1220 0.5142 0.8797
As1 0.0000 0.3005 0.5000
As2 0.2501 0.2586 0.2101
P1 0.0000 0.7147 0.0000
```